Entry 1:
This entry pairs a crystal structure of Na2LiCoBr6 with its simulated X-ray diffraction stick pattern. Radiation: Cu Kα. Structure: a crystal structure in OQMD, relaxed with GGA-PBE.

```
10
Lattice="0.0000 5.0541 5.0541 5.0541 0.0000 5.0541 5.0541 5.0541 0.0000" Properties=species:S:1:pos:R:3 pbc="T T T"
Na 2.5270 2.5270 2.5270
Na 7.5811 7.5811 7.5811
Li 0.0000 0.0000 0.0000
Co 5.0541 5.0541 5.0541
Br 5.0541 5.0541 2.6391
Br 5.0541 2.6391 5.0541
Br 7.4691 5.0541 5.0541
Br 2.6391 5.0541 5.0541
Br 5.0541 7.4691 5.0541
Br 5.0541 5.0541 7.4691
```

Largest 10 diffraction maxima, by angle, 10° ≤ 2θ ≤ 90°:
| 2theta | I_rel |
| --- | --- |
| 15.18 | 21 |
| 17.55 | 47 |
| 30.64 | 100 |
| 35.52 | 82 |
| 39.88 | 21 |
| 51.12 | 55 |
| 60.78 | 38 |
| 63.79 | 18 |
| 83.35 | 15 |
| 86.02 | 23 |

---

Entry 2:
This entry pairs a crystal structure of Li4ZnNiGe2 with its simulated X-ray diffraction stick pattern. Radiation: Cu Kα. Structure: a crystal structure in OQMD, relaxed with GGA-PBE.

```
8
Lattice="4.1953 0.0000 0.0000 0.0000 4.1953 0.0000 0.0000 0.0000 6.0413" Properties=species:S:1:pos:R:3 pbc="T T T"
Li 0.0000 0.0000 0.0000
Li 0.0000 2.0976 1.4573
Li 2.0976 0.0000 4.5840
Li 2.0976 2.0976 3.0206
Zn 0.0000 0.0000 3.0206
Ni 2.0976 2.0976 0.0000
Ge 0.0000 2.0976 4.6617
Ge 2.0976 0.0000 1.3796
```

Largest 10 diffraction maxima, by angle, 10° ≤ 2θ ≤ 90°:
| 2theta | I_rel |
| --- | --- |
| 25.86 | 100 |
| 42.72 | 66 |
| 43.13 | 33 |
| 50.26 | 14 |
| 50.97 | 30 |
| 62.63 | 11 |
| 68.33 | 11 |
| 77.95 | 9 |
| 78.79 | 20 |
| 84.87 | 7 |

---

Entry 3:
This entry pairs a crystal structure of ZnNi2S4 with its simulated X-ray diffraction stick pattern. Radiation: Cu Kα. Structure: a crystal structure in OQMD, relaxed with GGA-PBE.

```
14
Lattice="-3.4474 3.4474 4.8710 3.4474 -3.4474 4.8710 3.4474 3.4474 -4.8710" Properties=species:S:1:pos:R:3 pbc="T T T"
Zn 3.4474 1.7237 1.2177
Zn 0.0000 1.7237 3.6532
Ni 0.0000 0.0000 0.0000
Ni 1.7237 1.7237 -2.4355
Ni 1.7237 -1.7237 2.4355
Ni 0.0000 3.4474 0.0000
S 3.4474 3.2564 -2.5689
S 1.5327 1.7237 -0.1334
S 1.9146 -1.7237 4.7375
S 3.4474 -0.1910 2.5689
S 0.0000 3.6383 2.3021
S 1.5327 5.1710 0.1334
S 1.9146 1.7237 5.0044
S 0.0000 0.1910 7.4398
```

Largest 10 diffraction maxima, by angle, 10° ≤ 2θ ≤ 90°:
| 2theta | I_rel |
| --- | --- |
| 15.75 | 16 |
| 25.85 | 36 |
| 30.41 | 100 |
| 36.88 | 40 |
| 45.59 | 12 |
| 48.53 | 54 |
| 53.15 | 79 |
| 62.48 | 12 |
| 74.82 | 17 |
| 86.46 | 13 |

---

Entry 4:
This entry pairs a crystal structure of Li2Zr2CoSn2Pt with its simulated X-ray diffraction stick pattern. Radiation: Cu Kα. Structure: a crystal structure in OQMD, relaxed with GGA-PBE.

```
8
Lattice="4.5504 0.0000 0.0000 0.0000 4.5504 0.0000 0.0000 0.0000 6.4753" Properties=species:S:1:pos:R:3 pbc="T T T"
Li 0.0000 0.0000 0.0000
Li 2.2752 2.2752 3.2377
Zr 0.0000 2.2752 1.5396
Zr 2.2752 0.0000 4.9357
Co 2.2752 2.2752 0.0000
Sn 0.0000 2.2752 4.9436
Sn 2.2752 0.0000 1.5317
Pt 0.0000 0.0000 3.2377
```

Largest 10 diffraction maxima, by angle, 10° ≤ 2θ ≤ 90°:
| 2theta | I_rel |
| --- | --- |
| 19.51 | 10 |
| 23.90 | 48 |
| 31.04 | 11 |
| 39.48 | 100 |
| 39.61 | 50 |
| 46.79 | 16 |
| 57.26 | 17 |
| 71.53 | 17 |
| 71.79 | 34 |
| 85.00 | 11 |

---

Entry 5:
This entry pairs a crystal structure of CdPd9 with its simulated X-ray diffraction stick pattern. Radiation: Cu Kα. Structure: a crystal structure in OQMD, relaxed with GGA-PBE.

```
20
Lattice="2.8528 0.0000 0.0000 0.0000 2.8528 0.0000 0.0000 0.0000 50.5447" Properties=species:S:1:pos:R:3 pbc="T T T"
Cd 0.7132 0.7132 7.0683
Cd 2.1396 2.1396 43.4764
Pd 0.7132 0.7132 11.0400
Pd 0.7132 0.7132 14.8737
Pd 0.7132 0.7132 18.6649
Pd 0.7132 0.7132 22.4433
Pd 0.7132 0.7132 26.2143
Pd 0.7132 0.7132 29.9876
Pd 0.7132 0.7132 33.7772
Pd 0.7132 0.7132 37.5749
Pd 0.7132 0.7132 41.4845
Pd 2.1396 2.1396 9.0602
Pd 2.1396 2.1396 12.9698
Pd 2.1396 2.1396 16.7675
Pd 2.1396 2.1396 20.5571
Pd 2.1396 2.1396 24.3304
Pd 2.1396 2.1396 28.1014
Pd 2.1396 2.1396 31.8798
Pd 2.1396 2.1396 35.6710
Pd 2.1396 2.1396 39.5047
```

Largest 10 diffraction maxima, by angle, 10° ≤ 2θ ≤ 90°:
| 2theta | I_rel |
| --- | --- |
| 39.17 | 100 |
| 40.29 | 38 |
| 44.94 | 46 |
| 48.64 | 11 |
| 65.42 | 14 |
| 66.83 | 12 |
| 68.36 | 15 |
| 78.98 | 25 |
| 79.71 | 10 |
| 83.71 | 11 |